Calculated X-ray diffraction stick pattern
Compound: AlBiF2
Radiation: Cu Kα (λ = 1.5418 Å)
Structure: a DFT-relaxed cell (GGA-PBE, Alexandria)
Lines closer than 0.1° are merged.

Largest 10 diffraction maxima, in order of falling intensity, 10° ≤ 2θ ≤ 90°:
h k l	2theta	I/Imax
2 2 0	30.06	100
3 1 1	35.41	52
1 1 1	18.28	43
4 2 2	53.39	41
6 4 2	86.66	22
6 2 0	70.89	18
5 1 1	56.91	18
4 4 0	62.49	17
4 0 0	43.03	14
3 3 1	47.12	13

Cell and atoms:
abc: 8.4076 8.4076 8.4076
angles: 90.00 90.00 90.00
Space group Fd-3m (No. 227, origin choice 2)
Symmetry-distinct sites (fractional):
Al (0.1250, 0.1250, 0.1250) [8 per cell]
Bi (0.1250, 0.1250, 0.6250) [8 per cell]
F (0.0000, 0.0000, 0.0000) [16 per cell]